(1)
Theoretical powder diffraction line list
Compound: CoBO3
Radiation: a wavelength of 1.5418 Å
Structure: a crystal structure in the Materials Project, relaxed with GGA+U
Peak positions follow from Bragg's law for the DFT cell and can differ from measured ones.

Peak list (12 most intense, 10° ≤ 2θ ≤ 90°, by angle)
index  two_theta  intensity
0 1 0  19.17  100
1 1 0  21.15  37
1 0 0  21.91  89
1 0 1  22.28  37
0 1 -1  23.67  17
1 1 1  23.80  72
1 1 -1  30.39  18
0 0 2  34.44  100
1 2 1  37.47  30
1 1 -2  45.19  26
1 0 -2  47.96  19
1 -2 1  52.17  18

Structure:
Cell: 4.9051 5.2666 5.6018 Å, 88.52 70.19 62.82°
Atoms (fractional coordinates):
Co1 0.0517 0.3598 0.2358
Co2 0.9483 0.6402 0.7642
B1 0.3579 0.7238 0.2418
B2 0.6421 0.2762 0.7582
O1 0.1438 0.9910 0.2125
O2 0.2375 0.5454 0.3689
O3 0.3073 0.3727 0.8645
O4 0.6927 0.6273 0.1355
O5 0.7625 0.4546 0.6311
O6 0.8562 0.0090 0.7875

=====

(2)
Theoretical powder diffraction line list
Compound: Co2BO4
Radiation: a wavelength of 1.5418 Å
Structure: a crystal structure in the Materials Project, relaxed with GGA+U
Peak positions follow from Bragg's law for the DFT cell and can differ from measured ones.

Peak list (12 most intense, 10° ≤ 2θ ≤ 90°, by angle)
index  two_theta  intensity
1 0 1  13.47  20
1 0 2  21.28  35
1 0 3  30.22  20
2 1 0  34.36  100
2 0 3  34.70  47
3 0 2  34.91  17
0 1 3  40.58  21
3 1 2  45.46  20
4 1 3  57.60  28
1 1 5  58.08  16
0 2 0  58.28  17
5 1 2  61.46  17

Structure:
Cell: 9.2219 3.1663 9.3662 Å, 90.00 90.00 90.00°
Atoms (fractional coordinates):
Co1 0.1031 0.2500 0.2003
Co2 0.1189 0.2500 0.5706
Co3 0.3811 0.7500 0.0706
Co4 0.3969 0.7500 0.7003
Co5 0.6031 0.2500 0.2997
Co6 0.6189 0.2500 0.9294
Co7 0.8811 0.7500 0.4294
Co8 0.8969 0.7500 0.7997
B1 0.1630 0.2500 0.8817
B2 0.3370 0.7500 0.3817
B3 0.6630 0.2500 0.6183
B4 0.8370 0.7500 0.1183
O1 0.0137 0.2500 0.8698
O2 0.0167 0.2500 0.3763
O3 0.2271 0.2500 0.0157
O4 0.2462 0.2500 0.7574
O5 0.2538 0.7500 0.2574
O6 0.2729 0.7500 0.5157
O7 0.4833 0.7500 0.8763
O8 0.4863 0.7500 0.3698
O9 0.5137 0.2500 0.6302
O10 0.5167 0.2500 0.1237
O11 0.7271 0.2500 0.4843
O12 0.7462 0.2500 0.7426
O13 0.7538 0.7500 0.2426
O14 0.7729 0.7500 0.9843
O15 0.9833 0.7500 0.6237
O16 0.9863 0.7500 0.1302

=====

(3)
Theoretical powder diffraction line list
Compound: SrCo2BPO7
Radiation: a wavelength of 1.5418 Å
Structure: a crystal structure in the Materials Project, relaxed with GGA+U
Peak positions follow from Bragg's law for the DFT cell and can differ from measured ones.

Peak list (12 most intense, 10° ≤ 2θ ≤ 90°, by angle)
index  two_theta  intensity
1 1 -2  21.51  27
0 2 2  27.19  36
1 1 2  29.43  46
2 1 -2  30.24  57
0 3 1  30.99  100
2 2 -1  33.83  28
1 2 2  34.14  29
1 0 -4  35.36  39
2 2 0  35.48  43
1 1 4  46.96  27
2 4 -1  48.86  44
1 3 -5  54.43  26

Structure:
Cell: 6.5296 9.0857 10.1614 Å, 90.00 111.13 90.00°
Atoms (fractional coordinates):
Sr1 0.1645 0.2030 0.0140
Sr2 0.1645 0.2970 0.5140
Sr3 0.8355 0.7030 0.4860
Sr4 0.8355 0.7970 0.9860
Co1 0.2917 0.6784 0.3554
Co2 0.2917 0.8216 0.8554
Co3 0.4303 0.5536 0.1207
Co4 0.4303 0.9464 0.6207
Co5 0.5697 0.0536 0.3793
Co6 0.5697 0.4464 0.8793
Co7 0.7083 0.1784 0.1446
Co8 0.7083 0.3216 0.6446
B1 0.4642 0.6227 0.6702
B2 0.4642 0.8773 0.1702
B3 0.5358 0.1227 0.8298
B4 0.5358 0.3773 0.3298
P1 0.0413 0.5090 0.8086
P2 0.0413 0.9910 0.3086
P3 0.9587 0.0090 0.6914
P4 0.9587 0.4910 0.1914
O1 0.0103 0.5230 0.3507
O2 0.0103 0.9770 0.8507
O3 0.0158 0.6762 0.8254
O4 0.0158 0.8238 0.3254
O5 0.1237 0.5874 0.1475
O6 0.1237 0.9126 0.6475
O7 0.2711 0.0450 0.4094
O8 0.2711 0.4550 0.9094
O9 0.4231 0.7267 0.5650
O10 0.4231 0.7733 0.0650
O11 0.4692 0.0278 0.1467
O12 0.4692 0.4722 0.6467
O13 0.4965 0.1641 0.6908
O14 0.4965 0.3359 0.1908
O15 0.5035 0.6641 0.8092
O16 0.5035 0.8359 0.3092
O17 0.5308 0.5278 0.3533
O18 0.5308 0.9722 0.8533
O19 0.5769 0.2267 0.9350
O20 0.5769 0.2733 0.4350
O21 0.7289 0.5450 0.0906
O22 0.7289 0.9550 0.5906
O23 0.8763 0.0874 0.3525
O24 0.8763 0.4126 0.8525
O25 0.9842 0.1762 0.6746
O26 0.9842 0.3238 0.1746
O27 0.9897 0.0230 0.1493
O28 0.9897 0.4770 0.6493

=====

(4)
Theoretical powder diffraction line list
Compound: TiCo3B2O8
Radiation: a wavelength of 1.5418 Å
Structure: a crystal structure in the Materials Project, relaxed with GGA+U
Peak positions follow from Bragg's law for the DFT cell and can differ from measured ones.

Peak list (12 most intense, 10° ≤ 2θ ≤ 90°, by angle)
index  two_theta  intensity
0 1 1  13.24  10
0 2 1  20.92  35
0 3 1  29.70  29
0 3 2  34.09  28
1 0 2  34.32  100
1 3 0  40.37  10
1 2 3  45.10  17
1 3 3  50.18  22
1 3 4  56.94  20
2 0 0  58.72  14
1 2 5  60.67  18
1 6 1  66.73  10

Structure:
Cell: 3.1447 9.5263 9.3829 Å, 90.00 90.00 90.00°
Atoms (fractional coordinates):
Ti1 0.0000 0.1850 0.0000
Ti2 0.0000 0.8150 0.5000
Co1 0.0000 0.4352 0.4948
Co2 0.0000 0.5648 0.9948
Co3 0.5000 0.0671 0.2869
Co4 0.5000 0.3205 0.7670
Co5 0.5000 0.6795 0.2670
Co6 0.5000 0.9329 0.7869
B1 0.0000 0.1226 0.5580
B2 0.0000 0.8774 0.0580
B3 0.5000 0.3796 0.2222
B4 0.5000 0.6204 0.7222
O1 0.0000 0.0052 0.1357
O2 0.0000 0.1162 0.4124
O3 0.0000 0.2508 0.6285
O4 0.0000 0.3570 0.9146
O5 0.0000 0.6430 0.4146
O6 0.0000 0.7492 0.1285
O7 0.0000 0.8838 0.9124
O8 0.0000 0.9948 0.6357
O9 0.5000 0.1273 0.8977
O10 0.5000 0.2475 0.1478
O11 0.5000 0.3792 0.3665
O12 0.5000 0.4983 0.6431
O13 0.5000 0.5017 0.1431
O14 0.5000 0.6208 0.8665
O15 0.5000 0.7525 0.6478
O16 0.5000 0.8727 0.3977

=====

Please write out number 1 again, unchanged.
Theoretical powder diffraction line list
Compound: CoBO3
Radiation: a wavelength of 1.5418 Å
Structure: a crystal structure in the Materials Project, relaxed with GGA+U
Peak positions follow from Bragg's law for the DFT cell and can differ from measured ones.

Peak list (12 most intense, 10° ≤ 2θ ≤ 90°, by angle)
index  two_theta  intensity
0 1 0  19.17  100
1 1 0  21.15  37
1 0 0  21.91  89
1 0 1  22.28  37
0 1 -1  23.67  17
1 1 1  23.80  72
1 1 -1  30.39  18
0 0 2  34.44  100
1 2 1  37.47  30
1 1 -2  45.19  26
1 0 -2  47.96  19
1 -2 1  52.17  18

Structure:
Cell: 4.9051 5.2666 5.6018 Å, 88.52 70.19 62.82°
Atoms (fractional coordinates):
Co1 0.0517 0.3598 0.2358
Co2 0.9483 0.6402 0.7642
B1 0.3579 0.7238 0.2418
B2 0.6421 0.2762 0.7582
O1 0.1438 0.9910 0.2125
O2 0.2375 0.5454 0.3689
O3 0.3073 0.3727 0.8645
O4 0.6927 0.6273 0.1355
O5 0.7625 0.4546 0.6311
O6 0.8562 0.0090 0.7875